Diffraction record for Li8MgPb2. The X-ray diffraction stick pattern is computed, not measured: it uses the GGA-PBE geometry in Alexandria and Cu Kα.
No peak broadening, texture or thermal motion is included.

Main lines, in order of rising 2θ (2θ from 10° to 90°):
2θ = 12.3°, d = 7.168 Å, intensity 1000; 2θ = 15.9°, d = 5.575 Å, intensity 542; 2θ = 18.9°, d = 4.706 Å, intensity 572; 2θ = 23.0°, d = 3.859 Å, intensity 669; 2θ = 23.2°, d = 3.834 Å, intensity 665; 2θ = 23.6°, d = 3.762 Å, intensity 732; 2θ = 23.8°, d = 3.739 Å, intensity 731; 2θ = 25.8°, d = 3.449 Å, intensity 951

Structure:
abc: 4.982 6.052 8.150
angles: 111.33 107.70 90.38
Space group P-1 (No. 2)
Inequivalent atoms, fractional coordinates:
Li: 0.122 0.407 0.270 (multiplicity 2)
Li: 0.151 0.866 0.272 (multiplicity 2)
Li: 0.263 0.042 0.999 (multiplicity 2)
Li: 0.292 0.292 0.586 (multiplicity 2)
Mg: 0.500 0.500 0.000 (multiplicity 1)
Pb: 0.323 0.819 0.643 (multiplicity 2)